The following is a theoretical powder XRD pattern of LaTb6Pm10. It was derived from a crystal structure in Alexandria, relaxed with PBE, using Cu Kα (λ = 1.5418 Å).
Intensities are scaled so that the largest is 100.

Top 10 peaks for 10° ≤ 2θ ≤ 90°, in order of rising 2θ:
2θ/deg	I/Imax
30.5	43
31.4	80
31.6	100
40.2	12
45.1	26
48.2	13
56.0	18
56.3	18
58.7	10
61.9	11

Structural model:
Cell: 9.869 9.869 6.922 Å, 90.00 90.00 120.00°
Fractional positions:
La 0.000 0.000 0.000
Tb 0.000 0.374 0.805
Tb 0.000 0.626 0.195
Tb 0.374 0.000 0.805
Tb 0.374 0.374 0.195
Tb 0.626 0.000 0.195
Tb 0.626 0.626 0.805
Pm 0.000 0.277 0.318
Pm 0.000 0.723 0.682
Pm 0.277 0.000 0.318
Pm 0.277 0.277 0.682
Pm 0.333 0.667 0.000
Pm 0.333 0.667 0.500
Pm 0.667 0.333 0.000
Pm 0.667 0.333 0.500
Pm 0.723 0.000 0.682
Pm 0.723 0.723 0.318

The following is a theoretical powder XRD pattern of LaTb2Pm7. It was derived from a crystal structure in Alexandria, relaxed with PBE, using Cu Kα (λ = 1.5418 Å).
Intensities are scaled so that the largest is 100.

Top 10 peaks for 10° ≤ 2θ ≤ 90°, in order of rising 2θ:
2θ/deg	I/Imax
28.3	45
29.5	100
31.7	30
31.9	24
32.1	59
32.4	78
38.0	21
45.7	22
57.4	31
65.9	22

Structural model:
Cell: 9.430 9.430 9.430 Å, 145.55 130.78 61.46°
Fractional positions:
La 0.000 0.000 0.000
Tb 0.214 0.214 0.000
Tb 0.786 0.786 0.000
Pm 0.069 0.370 0.700
Pm 0.330 0.630 0.700
Pm 0.344 0.844 0.500
Pm 0.500 0.500 0.000
Pm 0.656 0.156 0.500
Pm 0.670 0.370 0.300
Pm 0.931 0.630 0.300

The following is a theoretical powder XRD pattern of La5TbPm2Th. It was derived from a crystal structure in Alexandria, relaxed with PBE, using Cu Kα (λ = 1.5418 Å).
Intensities are scaled so that the largest is 100.

Top 10 peaks for 10° ≤ 2θ ≤ 90°, in order of rising 2θ:
2θ/deg	I/Imax
11.6	9
26.2	14
30.2	17
30.9	100
32.2	32
32.3	14
33.7	25
47.3	20
56.5	19
58.5	14

Structural model:
Cell: 11.356 11.356 10.637 Å, 90.00 90.00 151.64°
Fractional positions:
La 0.000 0.000 0.000
La 0.000 0.000 0.500
La 0.130 0.870 0.750
La 0.224 0.776 0.059
La 0.224 0.776 0.441
La 0.500 0.500 0.250
La 0.500 0.500 0.750
La 0.776 0.224 0.559
La 0.776 0.224 0.941
La 0.870 0.130 0.250
Tb 0.103 0.897 0.250
Tb 0.897 0.103 0.750
Pm 0.388 0.612 0.503
Pm 0.388 0.612 0.997
Pm 0.612 0.388 0.003
Pm 0.612 0.388 0.497
Th 0.290 0.710 0.750
Th 0.710 0.290 0.250